(1)
Theoretical powder X-ray diffraction pattern of Al2Ga2Bi2O9 for Cu Kα (weighted mean of Kα1 and Kα2), from the PBE geometry in the Materials Project.
Intensities are scaled so that the largest is 100.

Structure:
Cell lengths 7.9043, 8.3621, 5.9232 Å; angles 90.00, 90.00, 90.00 degrees
Atoms (fractional coordinates):
1 Al 0.1451 0.1590 0.0000
2 Al 0.3549 0.6590 0.0000
3 Al 0.6451 0.3410 0.0000
4 Al 0.8549 0.8410 0.0000
5 Ga 0.0000 0.5000 0.2384
6 Ga 0.0000 0.5000 0.7616
7 Ga 0.5000 0.0000 0.2384
8 Ga 0.5000 0.0000 0.7616
9 Bi 0.1761 0.8276 0.5000
10 Bi 0.3239 0.3276 0.5000
11 Bi 0.6761 0.6724 0.5000
12 Bi 0.8239 0.1724 0.5000
13 O 0.0000 0.0000 0.0000
14 O 0.1263 0.2853 0.2483
15 O 0.1263 0.2853 0.7517
16 O 0.1425 0.5883 0.0000
17 O 0.1511 0.5630 0.5000
18 O 0.3489 0.0630 0.5000
19 O 0.3575 0.0883 0.0000
20 O 0.3737 0.7853 0.2483
21 O 0.3737 0.7853 0.7517
22 O 0.5000 0.5000 0.0000
23 O 0.6263 0.2147 0.2483
24 O 0.6263 0.2147 0.7517
25 O 0.6425 0.9117 0.0000
26 O 0.6511 0.9370 0.5000
27 O 0.8489 0.4370 0.5000
28 O 0.8575 0.4117 0.0000
29 O 0.8737 0.7147 0.2483
30 O 0.8737 0.7147 0.7517

Most intense lines, 10 to 80 degrees two-theta, low angle first:
2θ (°)	I/Imax
14.96	94
24.08	36
27.12	33
28.47	100
29.19	85
34.08	57
37.97	32
39.52	41
47.52	40
57.30	49


(2)
Theoretical powder X-ray diffraction pattern of Al2Ga2Bi2O9 for Cu Kα (weighted mean of Kα1 and Kα2), from the PBE geometry in the Materials Project.
Intensities are scaled so that the largest is 100.

Structure:
Cell lengths 7.9441, 8.3122, 5.8466 Å; angles 90.00, 90.00, 90.00 degrees
Atoms (fractional coordinates):
1 Al 0.0000 0.0000 0.2416
2 Al 0.0000 0.0000 0.7584
3 Al 0.5000 0.5000 0.2416
4 Al 0.5000 0.5000 0.7584
5 Ga 0.1527 0.3363 0.0000
6 Ga 0.3473 0.8363 0.0000
7 Ga 0.6527 0.1637 0.0000
8 Ga 0.8473 0.6637 0.0000
9 Bi 0.1712 0.6671 0.5000
10 Bi 0.3288 0.1671 0.5000
11 Bi 0.6712 0.8329 0.5000
12 Bi 0.8288 0.3329 0.5000
13 O 0.0000 0.5000 0.0000
14 O 0.1271 0.2009 0.2550
15 O 0.1271 0.2009 0.7450
16 O 0.1287 0.9126 0.0000
17 O 0.1410 0.9310 0.5000
18 O 0.3590 0.4310 0.5000
19 O 0.3713 0.4126 0.0000
20 O 0.3729 0.7009 0.2550
21 O 0.3729 0.7009 0.7450
22 O 0.5000 0.0000 0.0000
23 O 0.6271 0.2991 0.2550
24 O 0.6271 0.2991 0.7450
25 O 0.6287 0.5874 0.0000
26 O 0.6410 0.5690 0.5000
27 O 0.8590 0.0690 0.5000
28 O 0.8713 0.0874 0.0000
29 O 0.8729 0.7991 0.2550
30 O 0.8729 0.7991 0.7450

Most intense lines, 10 to 80 degrees two-theta, low angle first:
2θ (°)	I/Imax
15.15	36
28.65	100
29.23	90
30.58	32
39.79	18
47.85	25
49.71	21
53.17	18
53.52	18
57.55	35


(3)
Theoretical powder X-ray diffraction pattern of KLaAlBiO6 for Cu Kα (weighted mean of Kα1 and Kα2), from the PBE geometry in the Materials Project.
Intensities are scaled so that the largest is 100.

Structure:
Cell lengths 5.6830, 5.6830, 5.6830 Å; angles 60.00, 60.00, 60.00 degrees
Atoms (fractional coordinates):
1 K 0.0000 0.0000 0.0000
2 La 0.5000 0.5000 0.5000
3 Al 0.2500 0.2500 0.2500
4 Bi 0.7500 0.7500 0.7500
5 O 0.0116 0.0116 0.4884
6 O 0.0116 0.4884 0.0116
7 O 0.0116 0.4884 0.4884
8 O 0.4884 0.0116 0.0116
9 O 0.4884 0.0116 0.4884
10 O 0.4884 0.4884 0.0116

Most intense lines, 10 to 80 degrees two-theta, low angle first:
2θ (°)	I/Imax
19.13	58
31.48	100
37.10	39
45.12	33
49.43	19
56.06	40
59.79	13
65.72	20
69.15	12
74.70	18


(4)
Theoretical powder X-ray diffraction pattern of Mg14AlBi for Cu Kα (weighted mean of Kα1 and Kα2), from the PBE geometry in the Materials Project.
Intensities are scaled so that the largest is 100.

Structure:
Cell lengths 6.4264, 6.4264, 10.3767 Å; angles 90.00, 90.00, 120.00 degrees
Atoms (fractional coordinates):
1 Mg 0.0000 0.0000 0.2493
2 Mg 0.0000 0.0000 0.7507
3 Mg 0.3327 0.1664 0.0000
4 Mg 0.3328 0.1664 0.5000
5 Mg 0.5018 0.0036 0.2556
6 Mg 0.5018 0.0036 0.7444
7 Mg 0.5018 0.4982 0.2556
8 Mg 0.5018 0.4982 0.7444
9 Mg 0.8336 0.1664 0.0000
10 Mg 0.8336 0.1664 0.5000
11 Mg 0.8336 0.6673 0.0000
12 Mg 0.8336 0.6672 0.5000
13 Mg 0.9964 0.4982 0.2556
14 Mg 0.9964 0.4982 0.7444
15 Al 0.3333 0.6667 0.5000
16 Bi 0.3333 0.6667 0.0000

Most intense lines, 10 to 80 degrees two-theta, low angle first:
2θ (°)	I/Imax
15.92	44
18.09	64
23.44	38
29.09	22
30.43	20
32.17	30
34.58	25
36.65	100
38.26	21
68.72	20


(5)
Theoretical powder X-ray diffraction pattern of Mg14AlBi for Cu Kα (weighted mean of Kα1 and Kα2), from the PBE geometry in the Materials Project.
Intensities are scaled so that the largest is 100.

Structure:
Cell lengths 10.3691, 6.3407, 6.3407 Å; angles 63.05, 90.00, 90.00 degrees
Atoms (fractional coordinates):
1 Mg 0.0000 0.0000 0.0000
2 Mg 0.0000 0.0011 0.5002
3 Mg 0.0000 0.4995 0.4995
4 Mg 0.0000 0.5002 0.0011
5 Mg 0.2444 0.6699 0.6699
6 Mg 0.2493 0.1604 0.6759
7 Mg 0.2493 0.6759 0.1604
8 Mg 0.2538 0.1658 0.1658
9 Mg 0.5000 0.0003 0.4995
10 Mg 0.5000 0.4995 0.0003
11 Mg 0.7462 0.1658 0.1658
12 Mg 0.7507 0.1604 0.6759
13 Mg 0.7507 0.6759 0.1604
14 Mg 0.7556 0.6699 0.6699
15 Al 0.5000 0.0026 0.0026
16 Bi 0.5000 0.5028 0.5028

Most intense lines, 10 to 80 degrees two-theta, low angle first:
2θ (°)	I/Imax
15.68	40
17.87	63
18.51	31
23.28	38
31.66	30
33.15	28
34.60	37
36.20	100
37.54	51
69.58	25


(6)
Theoretical powder X-ray diffraction pattern of AlBiN2 for Cu Kα (weighted mean of Kα1 and Kα2), from the PBE geometry in the Materials Project.
Intensities are scaled so that the largest is 100.

Structure:
Cell lengths 6.1341, 7.5104, 5.2449 Å; angles 90.00, 90.00, 90.00 degrees
Atoms (fractional coordinates):
1 Al 0.0253 0.1298 0.0000
2 Al 0.4747 0.6298 0.5000
3 Al 0.5253 0.3702 0.0000
4 Al 0.9747 0.8702 0.5000
5 Bi 0.1191 0.6326 0.0179
6 Bi 0.3809 0.1326 0.5179
7 Bi 0.6191 0.8674 0.0179
8 Bi 0.8809 0.3674 0.5179
9 N 0.0231 0.1076 0.3636
10 N 0.2203 0.7399 0.3870
11 N 0.2797 0.2399 0.8870
12 N 0.4769 0.6076 0.8636
13 N 0.5231 0.3924 0.3636
14 N 0.7203 0.7601 0.3870
15 N 0.7797 0.2601 0.8870
16 N 0.9769 0.8924 0.8636

Most intense lines, 10 to 80 degrees two-theta, low angle first:
2θ (°)	I/Imax
18.68	33
20.66	86
25.29	56
27.86	57
31.51	42
32.76	100
33.86	70
34.19	41
44.66	31
60.44	28